Starting from a PBE-relaxed structure, the powder diffraction line list of Mg2Zn3 was calculated for copper Kα.
Kinematic intensities with the Lorentz-polarization factor, no thermal factor.

Principal peaks in the range 2θ = 10–80°, in order of falling intensity:
- 2θ 36.0, I 100
- 2θ 43.4, I 57
- 2θ 16.2, I 26
- 2θ 59.3, I 24
- 2θ 41.3, I 21
- 2θ 74.8, I 20
- 2θ 66.8, I 13
- 2θ 71.4, I 12

Cell and atoms:
abc: 3.116 3.116 32.768
angles: 90.00 90.00 120.00
Positions (direct):
Mg (0.000, 0.000, 0.098)
Mg (0.000, 0.000, 0.902)
Mg (0.333, 0.667, 0.569)
Mg (0.333, 0.667, 0.764)
Mg (0.667, 0.333, 0.236)
Mg (0.667, 0.333, 0.431)
Zn (0.000, 0.000, 0.304)
Zn (0.000, 0.000, 0.500)
Zn (0.000, 0.000, 0.696)
Zn (0.333, 0.667, 0.167)
Zn (0.333, 0.667, 0.363)
Zn (0.333, 0.667, 0.970)
Zn (0.667, 0.333, 0.030)
Zn (0.667, 0.333, 0.637)
Zn (0.667, 0.333, 0.833)